Diffraction record for Cr4Te3N2. The XRD peak list is computed, not measured: it uses a DFT-relaxed cell (GGA-PBE, the Materials Project) and Cu Kα (weighted mean of Kα1 and Kα2).

Crystal structure
```
data_Cr4Te3N2
_symmetry_space_group_name_H-M 'P n m a'
_symmetry_Int_Tables_number 62
_symmetry_space_group_name_Hall '-P 2ac 2n'
_cell_length_a 6.4953
_cell_length_b 10.6463
_cell_length_c 9.8496
_cell_angle_alpha 90.00
_cell_angle_beta 90.00
_cell_angle_gamma 90.00
loop_
_atom_site_label
_atom_site_type_symbol
_atom_site_fract_x
_atom_site_fract_y
_atom_site_fract_z
Cr1 Cr 0.0879 0.2500 0.1201
Cr2 Cr 0.1904 0.0256 0.9328
Cr3 Cr 0.1971 0.7500 0.0868
Te1 Te 0.0758 0.5703 0.6754
Te2 Te 0.1131 0.7500 0.3520
N1 N 0.0491 0.6231 0.0020
```

Top 10 peaks for 2θ from 15° to 90°, sorted by position:
2θ (°)  I_rel  hkl
26.70  73.5  0 3 1
28.74  28.3  2 1 0
30.51  63.7  1 0 3
31.67  22.9  1 1 3
33.59  100.0  2 2 1
34.06  95.5  1 3 2
42.79  31.8  1 2 4
47.05  26.3  1 3 4
49.05  18.8  3 2 2
51.28  25.6  3 1 3